# 1
The following is a simulated powder XRD pattern of Lu2Pd2Pb. It was derived from a DFT-relaxed cell (GGA-PBE, the Materials Project), using a wavelength of 1.5418 Å.

Structure:
abc: 7.8837 7.8837 3.5080
angles: 90.00 90.00 90.00
Atoms (fractional coordinates):
Lu 0.1673 0.3327 0.0000
Lu 0.3327 0.8327 0.0000
Lu 0.6673 0.1673 0.0000
Lu 0.8327 0.6673 0.0000
Pd 0.1274 0.6274 0.5000
Pd 0.3726 0.1274 0.5000
Pd 0.6274 0.8726 0.5000
Pd 0.8726 0.3726 0.5000
Pb 0.0000 0.0000 0.5000
Pb 0.5000 0.5000 0.5000

Largest 10 diffraction maxima, low angle first, 2θ from 10° to 80°:
2θ = 30.10°, I = 9; 2θ = 32.11°, I = 10; 2θ = 34.22°, I = 28; 2θ = 36.08°, I = 100; 2θ = 52.15°, I = 9; 2θ = 54.67°, I = 8; 2θ = 56.00°, I = 9; 2θ = 65.01°, I = 15; 2θ = 66.04°, I = 9; 2θ = 69.57°, I = 11


# 2
The following is a simulated powder XRD pattern of Li4Cu7P6O24. It was derived from a DFT-relaxed cell (GGA-PBE, the Materials Project), using a wavelength of 1.5418 Å.

Structure:
abc: 8.9064 8.9064 6.2543
angles: 99.07 99.07 103.09
Atoms (fractional coordinates):
Li 0.0000 0.0000 0.0000
Li 0.2312 0.4851 0.9819
Li 0.4851 0.2312 0.9819
Li 0.6739 0.6739 0.9856
Cu 0.3041 0.9293 0.3316
Cu 0.3197 0.5700 0.5152
Cu 0.5700 0.3197 0.5152
Cu 0.5944 0.9509 0.6965
Cu 0.9293 0.3041 0.3316
Cu 0.9509 0.5944 0.6965
Cu 0.9514 0.9514 0.5124
P 0.0293 0.6592 0.2214
P 0.2292 0.8484 0.8013
P 0.2649 0.2649 0.5899
P 0.6156 0.6156 0.4414
P 0.6592 0.0293 0.2214
P 0.8484 0.2292 0.8013
O 0.0478 0.8454 0.7411
O 0.0541 0.8443 0.2958
O 0.1493 0.1493 0.6762
O 0.1794 0.3609 0.4422
O 0.1973 0.6396 0.2181
O 0.2261 0.6697 0.7799
O 0.2920 0.9568 0.0306
O 0.3327 0.9194 0.6464
O 0.3609 0.1794 0.4422
O 0.3838 0.3838 0.7858
O 0.4781 0.4781 0.2973
O 0.5335 0.7110 0.6014
O 0.5589 0.9575 0.3805
O 0.6089 0.9133 0.9960
O 0.6396 0.1973 0.2181
O 0.6697 0.2261 0.7799
O 0.7110 0.5335 0.6014
O 0.7131 0.7131 0.3137
O 0.8443 0.0541 0.2958
O 0.8454 0.0478 0.7411
O 0.9133 0.6089 0.9960
O 0.9194 0.3327 0.6464
O 0.9568 0.2920 0.0306
O 0.9575 0.5589 0.3805

Largest 10 diffraction maxima, low angle first, 2θ from 10° to 80°:
2θ = 12.69°, I = 27; 2θ = 14.64°, I = 100; 2θ = 20.85°, I = 17; 2θ = 24.29°, I = 38; 2θ = 31.59°, I = 77; 2θ = 32.26°, I = 18; 2θ = 32.96°, I = 16; 2θ = 34.58°, I = 49; 2θ = 37.68°, I = 22; 2θ = 55.38°, I = 17


# 3
The following is a simulated powder XRD pattern of LiScPt2. It was derived from a DFT-relaxed cell (GGA-PBE, the Materials Project), using a wavelength of 1.5418 Å.

Structure:
abc: 4.4768 4.4768 4.4768
angles: 60.00 60.00 60.00
Atoms (fractional coordinates):
Li 0.0000 0.0000 0.0000
Sc 0.5000 0.5000 0.5000
Pt 0.2500 0.2500 0.2500
Pt 0.7500 0.7500 0.7500

Largest 8 diffraction maxima, low angle first, 2θ from 10° to 80°:
2θ = 24.35°, I = 2; 2θ = 28.19°, I = 76; 2θ = 40.29°, I = 100; 2θ = 47.64°, I = 1; 2θ = 49.90°, I = 22; 2θ = 58.30°, I = 17; 2θ = 65.99°, I = 29; 2θ = 73.24°, I = 35


# 4
The following is a simulated powder XRD pattern of LiTi2O4. It was derived from a DFT-relaxed cell (GGA-PBE, the Materials Project), using a wavelength of 1.5418 Å.

Structure:
abc: 4.7889 2.9309 4.8326
angles: 90.00 90.95 90.00
Atoms (fractional coordinates):
Li 0.0000 0.0000 0.0000
Ti 0.0000 0.0000 0.5000
Ti 0.5000 0.5000 0.0000
O 0.1680 0.5000 0.2654
O 0.3206 0.0000 0.7840
O 0.6794 0.0000 0.2160
O 0.8320 0.5000 0.7346

Largest 10 diffraction maxima, low angle first, 2θ from 10° to 80°:
2θ = 25.98°, I = 100; 2θ = 26.42°, I = 93; 2θ = 35.87°, I = 100; 2θ = 40.78°, I = 22; 2θ = 52.44°, I = 39; 2θ = 52.65°, I = 26; 2θ = 52.93°, I = 46; 2θ = 53.13°, I = 22; 2θ = 53.43°, I = 24; 2θ = 66.73°, I = 29


# 5
The following is a simulated powder XRD pattern of YAg3Cl6. It was derived from a DFT-relaxed cell (GGA-PBE, the Materials Project), using a wavelength of 1.5418 Å.

Structure:
abc: 7.3833 7.3833 7.3833
angles: 56.56 56.56 56.56
Atoms (fractional coordinates):
Y 0.0000 0.0000 0.0000
Ag 0.2075 0.2075 0.2075
Ag 0.5000 0.5000 0.5000
Ag 0.7925 0.7925 0.7925
Cl 0.1030 0.7702 0.3827
Cl 0.2298 0.6173 0.8970
Cl 0.3827 0.1030 0.7702
Cl 0.6173 0.8970 0.2298
Cl 0.7702 0.3827 0.1030
Cl 0.8970 0.2298 0.6173

Largest 10 diffraction maxima, low angle first, 2θ from 10° to 80°:
2θ = 14.33°, I = 45; 2θ = 24.17°, I = 93; 2θ = 25.46°, I = 100; 2θ = 28.21°, I = 25; 2θ = 29.34°, I = 89; 2θ = 35.40°, I = 51; 2θ = 38.89°, I = 60; 2θ = 44.11°, I = 44; 2θ = 44.88°, I = 76; 2θ = 51.53°, I = 35


# 6
The following is a simulated powder XRD pattern of SrMg5N4. It was derived from a DFT-relaxed cell (GGA-PBE, the Materials Project), using a wavelength of 1.5418 Å.

Structure:
abc: 6.7721 8.3817 5.2917
angles: 90.00 90.00 90.00
Atoms (fractional coordinates):
Sr 0.2500 0.2500 0.2178
Sr 0.7500 0.7500 0.7822
Mg 0.0037 0.5722 0.2329
Mg 0.0037 0.9278 0.2329
Mg 0.2500 0.7500 0.7310
Mg 0.4963 0.5722 0.2329
Mg 0.4963 0.9278 0.2329
Mg 0.5037 0.0722 0.7671
Mg 0.5037 0.4278 0.7671
Mg 0.7500 0.2500 0.2690
Mg 0.9963 0.0722 0.7671
Mg 0.9963 0.4278 0.7671
N 0.0104 0.7500 0.4898
N 0.2500 0.5222 0.9765
N 0.2500 0.9778 0.9765
N 0.4896 0.7500 0.4898
N 0.5104 0.2500 0.5102
N 0.7500 0.0222 0.0235
N 0.7500 0.4778 0.0235
N 0.9896 0.2500 0.5102

Largest 10 diffraction maxima, low angle first, 2θ from 10° to 80°:
2θ = 16.82°, I = 34; 2θ = 19.84°, I = 30; 2θ = 21.31°, I = 20; 2θ = 33.18°, I = 100; 2θ = 33.88°, I = 22; 2θ = 34.04°, I = 28; 2θ = 36.37°, I = 69; 2θ = 48.79°, I = 59; 2θ = 64.48°, I = 20; 2θ = 67.00°, I = 27


# 7
The following is a simulated powder XRD pattern of BeGe2Te. It was derived from a DFT-relaxed cell (GGA-PBE, the Materials Project), using a wavelength of 1.5418 Å.

Structure:
abc: 4.8047 4.8047 4.8047
angles: 60.00 60.00 60.00
Atoms (fractional coordinates):
Be 0.0000 0.0000 0.0000
Ge 0.5000 0.5000 0.5000
Ge 0.7500 0.7500 0.7500
Te 0.2500 0.2500 0.2500

Largest 10 diffraction maxima, low angle first, 2θ from 10° to 80°:
2θ = 22.67°, I = 22; 2θ = 26.23°, I = 22; 2θ = 37.44°, I = 100; 2θ = 44.21°, I = 11; 2θ = 46.29°, I = 6; 2θ = 53.98°, I = 17; 2θ = 59.28°, I = 5; 2θ = 60.98°, I = 8; 2θ = 67.53°, I = 34; 2θ = 79.85°, I = 11


# 8
The following is a simulated powder XRD pattern of SbPO6. It was derived from a DFT-relaxed cell (GGA-PBE, the Materials Project), using a wavelength of 1.5418 Å.

Structure:
abc: 8.3740 11.7956 5.1164
angles: 90.00 91.74 90.00
Atoms (fractional coordinates):
Sb 0.0516 0.1695 0.2619
Sb 0.0516 0.3305 0.7619
Sb 0.9484 0.6695 0.2381
Sb 0.9484 0.8305 0.7381
P 0.2003 0.5891 0.7738
P 0.2003 0.9109 0.2738
P 0.7997 0.0891 0.7262
P 0.7997 0.4109 0.2262
O 0.0867 0.6746 0.5902
O 0.0867 0.8254 0.0902
O 0.1192 0.5884 0.0511
O 0.1192 0.9116 0.5511
O 0.1620 0.0316 0.1504
O 0.1620 0.4684 0.6504
O 0.1699 0.2136 0.5782
O 0.1699 0.2864 0.0782
O 0.3676 0.6255 0.7751
O 0.3676 0.8745 0.2751
O 0.3862 0.0204 0.7170
O 0.3862 0.4796 0.2170
O 0.6138 0.5204 0.7830
O 0.6138 0.9796 0.2830
O 0.6324 0.1255 0.7249
O 0.6324 0.3745 0.2249
O 0.8301 0.7136 0.9218
O 0.8301 0.7864 0.4218
O 0.8380 0.5316 0.3496
O 0.8380 0.9684 0.8496
O 0.8808 0.0884 0.4489
O 0.8808 0.4116 0.9489
O 0.9133 0.1746 0.9098
O 0.9133 0.3254 0.4098

Largest 10 diffraction maxima, low angle first, 2θ from 10° to 80°:
2θ = 10.57°, I = 100; 2θ = 18.40°, I = 14; 2θ = 22.54°, I = 6; 2θ = 25.16°, I = 12; 2θ = 25.61°, I = 14; 2θ = 31.15°, I = 9; 2θ = 31.88°, I = 7; 2θ = 35.11°, I = 13; 2θ = 36.62°, I = 7; 2θ = 43.95°, I = 6


# 9
The following is a simulated powder XRD pattern of HoNbOs2. It was derived from a DFT-relaxed cell (GGA-PBE, the Materials Project), using a wavelength of 1.5418 Å.

Structure:
abc: 4.6422 4.6422 4.6422
angles: 60.00 60.00 60.00
Atoms (fractional coordinates):
Ho 0.0000 0.0000 0.0000
Nb 0.5000 0.5000 0.5000
Os 0.2500 0.2500 0.2500
Os 0.7500 0.7500 0.7500

Largest 9 diffraction maxima, low angle first, 2θ from 10° to 80°:
2θ = 23.47°, I = 3; 2θ = 27.17°, I = 4; 2θ = 38.80°, I = 100; 2θ = 45.84°, I = 1; 2θ = 48.01°, I = 1; 2θ = 56.03°, I = 17; 2θ = 61.57°, I = 1; 2θ = 63.36°, I = 2; 2θ = 70.24°, I = 35


# 10
The following is a simulated powder XRD pattern of RbB2SbO6. It was derived from a DFT-relaxed cell (GGA-PBE, the Materials Project), using a wavelength of 1.5418 Å.

Structure:
abc: 7.4770 3.8923 9.7654
angles: 90.00 90.00 90.00
Atoms (fractional coordinates):
Rb 0.0000 0.0556 0.0000
Rb 0.5000 0.9444 0.5000
B 0.1687 0.5092 0.3222
B 0.3313 0.4908 0.8222
B 0.6687 0.4908 0.8222
B 0.8313 0.5092 0.3222
Sb 0.0000 0.4340 0.6032
Sb 0.5000 0.5660 0.1032
O 0.0000 0.5264 0.2589
O 0.0000 0.9334 0.6062
O 0.1823 0.4160 0.7496
O 0.1929 0.4327 0.4591
O 0.3071 0.5673 0.9591
O 0.3177 0.5840 0.2496
O 0.5000 0.0666 0.1062
O 0.5000 0.4736 0.7589
O 0.6823 0.5840 0.2496
O 0.6929 0.5673 0.9591
O 0.8071 0.4327 0.4591
O 0.8177 0.4160 0.7496

Largest 10 diffraction maxima, low angle first, 2θ from 10° to 80°:
2θ = 14.92°, I = 44; 2θ = 18.17°, I = 37; 2θ = 22.85°, I = 16; 2θ = 23.80°, I = 38; 2θ = 27.40°, I = 100; 2θ = 29.94°, I = 44; 2θ = 30.11°, I = 44; 2θ = 38.13°, I = 21; 2θ = 45.86°, I = 21; 2θ = 50.43°, I = 23


# 11
The following is a simulated powder XRD pattern of LiGd2Ru. It was derived from a DFT-relaxed cell (GGA-PBE, the Materials Project), using a wavelength of 1.5418 Å.

Structure:
abc: 4.9548 4.9548 4.9548
angles: 60.00 60.00 60.00
Atoms (fractional coordinates):
Li 0.0000 0.0000 0.0000
Gd 0.2500 0.2500 0.2500
Gd 0.7500 0.7500 0.7500
Ru 0.5000 0.5000 0.5000

Largest 10 diffraction maxima, low angle first, 2θ from 10° to 80°:
2θ = 21.97°, I = 14; 2θ = 25.42°, I = 29; 2θ = 36.26°, I = 100; 2θ = 42.80°, I = 7; 2θ = 44.81°, I = 9; 2θ = 52.22°, I = 18; 2θ = 57.31°, I = 3; 2θ = 58.95°, I = 12; 2θ = 65.23°, I = 36; 2θ = 76.98°, I = 11


# 12
The following is a simulated powder XRD pattern of SrMg6TiO8. It was derived from a DFT-relaxed cell (GGA-PBE, the Materials Project), using a wavelength of 1.5418 Å.

Structure:
abc: 4.4871 4.4871 8.8131
angles: 90.00 90.00 90.00
Atoms (fractional coordinates):
Sr 0.0000 0.0000 0.0000
Mg 0.0000 0.0000 0.5000
Mg 0.0000 0.5000 0.2631
Mg 0.0000 0.5000 0.7369
Mg 0.5000 0.0000 0.2631
Mg 0.5000 0.0000 0.7369
Mg 0.5000 0.5000 0.5000
Ti 0.5000 0.5000 0.0000
O 0.0000 0.0000 0.2734
O 0.0000 0.0000 0.7266
O 0.0000 0.5000 0.0000
O 0.0000 0.5000 0.5000
O 0.5000 0.0000 0.0000
O 0.5000 0.0000 0.5000
O 0.5000 0.5000 0.2573
O 0.5000 0.5000 0.7427

Largest 10 diffraction maxima, low angle first, 2θ from 10° to 80°:
2θ = 10.04°, I = 38; 2θ = 20.15°, I = 13; 2θ = 29.93°, I = 19; 2θ = 34.84°, I = 42; 2θ = 40.19°, I = 100; 2θ = 40.96°, I = 45; 2θ = 58.15°, I = 30; 2θ = 58.73°, I = 54; 2θ = 69.61°, I = 15; 2θ = 73.57°, I = 25